[1]
The following is a theoretical X-ray diffraction stick pattern of CaPaGeO5. It was derived from a crystal structure in Alexandria, relaxed with PBE, using copper Kα.
Intensities are scaled so that the largest is 100.

Largest 10 diffraction maxima, by intensity, 10° ≤ 2θ ≤ 80°:
d/Å	Position (°2θ)	intensity
3.598	24.75	100
5.418	16.36	90
2.861	31.26	64
2.916	30.66	63
3.293	27.08	57
2.691	33.29	29
4.764	18.62	29
2.231	40.43	28
2.590	34.63	27
1.806	50.54	23

Cell and atoms:
abc: 5.9374 5.9374 7.9325
angles: 102.72 102.72 106.73
Fractional coordinates of all 16 atoms:
Ca 0.1621 0.8379 0.7500
Ca 0.8379 0.1621 0.2500
Pa 0.5000 0.5000 0.0000
Pa 0.5000 0.5000 0.5000
Ge 0.1771 0.8229 0.2500
Ge 0.8229 0.1771 0.7500
O 0.1078 0.2200 0.9105
O 0.1641 0.5870 0.3595
O 0.2200 0.1078 0.4105
O 0.4022 0.5978 0.7500
O 0.4130 0.8359 0.1405
O 0.5870 0.1641 0.8595
O 0.5978 0.4022 0.2500
O 0.7800 0.8922 0.5895
O 0.8359 0.4130 0.6405
O 0.8922 0.7800 0.0895

---

[2]
The following is a theoretical X-ray diffraction stick pattern of Nd2Er3In3. It was derived from a crystal structure in Alexandria, relaxed with PBE, using copper Kα.
Intensities are scaled so that the largest is 100.

Largest 10 diffraction maxima, by intensity, 10° ≤ 2θ ≤ 80°:
d/Å	Position (°2θ)	intensity
2.778	32.22	100
2.435	36.91	18
2.531	35.47	18
2.274	39.63	15
1.464	63.57	14
1.504	61.65	12
1.392	67.28	12
1.755	52.13	12
1.662	55.27	11
1.389	67.41	11

Cell and atoms:
abc: 10.6567 10.6567 10.6567
angles: 155.36 153.58 36.44
Fractional coordinates of all 8 atoms:
Nd 0.2408 0.2408 0.0000
Nd 0.7592 0.7592 0.0000
Er 0.0000 0.0000 0.0000
Er 0.3835 0.8835 0.5000
Er 0.6165 0.1165 0.5000
In 0.1212 0.6212 0.5000
In 0.5000 0.5000 0.0000
In 0.8788 0.3788 0.5000

---

[3]
The following is a theoretical X-ray diffraction stick pattern of Dy5B3O13. It was derived from a crystal structure in Alexandria, relaxed with PBE, using copper Kα.
Intensities are scaled so that the largest is 100.

Largest 10 diffraction maxima, by intensity, 10° ≤ 2θ ≤ 80°:
d/Å	Position (°2θ)	intensity
2.693	33.27	100
3.733	23.84	35
3.096	28.83	32
3.879	22.93	28
2.932	30.49	26
2.586	34.69	24
1.682	54.56	23
1.866	48.79	21
1.786	51.15	18
1.815	50.28	18

Cell and atoms:
abc: 8.9583 8.9583 6.7541
angles: 90.00 90.00 120.00
Fractional coordinates of all 42 atoms:
Dy 0.0126 0.2522 0.2500
Dy 0.2395 0.9874 0.2500
Dy 0.2522 0.2395 0.7500
Dy 0.3333 0.6667 0.5018
Dy 0.3333 0.6667 0.9982
Dy 0.6667 0.3333 0.0018
Dy 0.6667 0.3333 0.4982
Dy 0.7478 0.7605 0.2500
Dy 0.7605 0.0126 0.7500
Dy 0.9874 0.7478 0.7500
B 0.0307 0.3986 0.7500
B 0.3679 0.9693 0.7500
B 0.3986 0.3679 0.2500
B 0.6014 0.6321 0.7500
B 0.6321 0.0307 0.2500
B 0.9693 0.6014 0.2500
O 0.0000 0.0000 0.2500
O 0.0000 0.0000 0.7500
O 0.0913 0.3463 0.5717
O 0.0913 0.3463 0.9283
O 0.1244 0.5894 0.7500
O 0.1574 0.6771 0.2500
O 0.2550 0.9087 0.5717
O 0.2550 0.9087 0.9283
O 0.3229 0.4803 0.2500
O 0.3463 0.2550 0.0717
O 0.3463 0.2550 0.4283
O 0.4106 0.5350 0.7500
O 0.4650 0.8756 0.7500
O 0.4803 0.1574 0.7500
O 0.5197 0.8426 0.2500
O 0.5350 0.1244 0.2500
O 0.5894 0.4650 0.2500
O 0.6537 0.7450 0.5717
O 0.6537 0.7450 0.9283
O 0.6771 0.5197 0.7500
O 0.7450 0.0913 0.0717
O 0.7450 0.0913 0.4283
O 0.8426 0.3229 0.7500
O 0.8756 0.4106 0.2500
O 0.9087 0.6537 0.0717
O 0.9087 0.6537 0.4283

---

[4]
The following is a theoretical X-ray diffraction stick pattern of KMgInF6. It was derived from a crystal structure in Alexandria, relaxed with PBE, using copper Kα.
Intensities are scaled so that the largest is 100.

Largest 10 diffraction maxima, by intensity, 10° ≤ 2θ ≤ 80°:
d/Å	Position (°2θ)	intensity
3.294	27.07	100
6.103	14.51	95
5.385	16.46	55
3.051	29.27	46
2.491	36.05	27
3.166	28.19	27
1.903	47.80	26
6.331	13.99	23
2.178	41.46	19
3.230	27.61	18

Cell and atoms:
abc: 7.6173 7.6173 7.6173
angles: 121.82 118.18 90.03
Fractional coordinates of all 18 atoms:
K 0.2973 0.0473 0.2500
K 0.7027 0.9527 0.7500
Mg 0.0000 0.0000 0.5000
Mg 0.0000 0.5000 0.0000
In 0.0000 0.5000 0.5000
In 0.5000 0.5000 0.0000
F 0.0501 0.4054 0.2199
F 0.0505 0.8005 0.2500
F 0.0501 0.8303 0.6447
F 0.3144 0.1697 0.7199
F 0.3144 0.5946 0.1447
F 0.3315 0.5815 0.7500
F 0.6685 0.4185 0.2500
F 0.6856 0.4054 0.8553
F 0.6856 0.8303 0.2801
F 0.9499 0.1697 0.3553
F 0.9495 0.1995 0.7500
F 0.9499 0.5946 0.7801

---

[5]
The following is a theoretical X-ray diffraction stick pattern of La4NiBi2. It was derived from a crystal structure in Alexandria, relaxed with PBE, using copper Kα.
Intensities are scaled so that the largest is 100.

Largest 10 diffraction maxima, by intensity, 10° ≤ 2θ ≤ 80°:
d/Å	Position (°2θ)	intensity
2.726	32.86	100
3.318	26.87	54
3.353	26.59	49
3.032	29.46	49
2.445	36.76	49
2.979	30.00	42
3.004	29.74	37
2.405	37.39	33
3.382	26.35	28
2.161	41.80	28

Cell and atoms:
abc: 7.2418 6.7649 9.7793
angles: 90.00 109.14 90.00
Fractional coordinates of all 14 atoms:
La 0.0189 0.0102 0.2691
La 0.0189 0.4898 0.2691
La 0.3856 0.7500 0.0868
La 0.4345 0.7500 0.6187
La 0.5655 0.2500 0.3813
La 0.6144 0.2500 0.9132
La 0.9811 0.5102 0.7309
La 0.9811 0.9898 0.7309
Ni 0.3349 0.7500 0.3323
Ni 0.6651 0.2500 0.6677
Bi 0.2246 0.2500 0.0438
Bi 0.2641 0.2500 0.5804
Bi 0.7359 0.7500 0.4196
Bi 0.7754 0.7500 0.9562

---

[6]
The following is a theoretical X-ray diffraction stick pattern of MgAl3Ga4. It was derived from a crystal structure in Alexandria, relaxed with PBE, using copper Kα.
Intensities are scaled so that the largest is 100.

Largest 10 diffraction maxima, by intensity, 10° ≤ 2θ ≤ 80°:
d/Å	Position (°2θ)	intensity
2.290	39.35	100
2.361	38.12	40
3.400	26.21	31
2.523	35.59	27
2.371	37.94	20
2.175	41.53	20
3.097	28.83	18
1.349	69.71	18
1.232	77.45	16
2.013	45.04	14

Cell and atoms:
abc: 9.4441 6.1939 4.8999
angles: 90.00 90.00 90.00
Fractional coordinates of all 16 atoms:
Mg 0.0000 0.0000 0.0000
Mg 0.5000 0.0000 0.0000
Al 0.0000 0.5000 0.0000
Al 0.2500 0.0000 0.3835
Al 0.2500 0.5000 0.3585
Al 0.5000 0.5000 0.0000
Al 0.7500 0.0000 0.6165
Al 0.7500 0.5000 0.6415
Ga 0.0000 0.2608 0.5000
Ga 0.0000 0.7392 0.5000
Ga 0.2500 0.2614 0.8626
Ga 0.2500 0.7386 0.8626
Ga 0.5000 0.2608 0.5000
Ga 0.5000 0.7392 0.5000
Ga 0.7500 0.2614 0.1374
Ga 0.7500 0.7386 0.1374

---

[7]
The following is a theoretical X-ray diffraction stick pattern of Th4Ge2Pt. It was derived from a crystal structure in Alexandria, relaxed with PBE, using copper Kα.
Intensities are scaled so that the largest is 100.

Largest 10 diffraction maxima, by intensity, 10° ≤ 2θ ≤ 80°:
d/Å	Position (°2θ)	intensity
2.944	30.36	100
2.840	31.50	83
2.828	31.64	77
2.420	37.16	69
2.397	37.52	52
2.459	36.55	44
1.839	49.58	32
1.756	52.07	32
3.232	27.60	31
1.780	51.32	30

Cell and atoms:
abc: 7.8645 7.8645 7.8645
angles: 110.74 110.68 107.03
Fractional coordinates of all 14 atoms:
Th 0.0056 0.1370 0.0066
Th 0.1370 0.0055 0.5065
Th 0.3630 0.8695 0.8685
Th 0.4944 0.5010 0.1314
Th 0.5010 0.4945 0.6315
Th 0.6304 0.9990 0.4934
Th 0.8696 0.3630 0.3686
Th 0.9990 0.6305 0.9935
Ge 0.2500 0.6362 0.3862
Ge 0.6365 0.2500 0.8865
Ge 0.7500 0.8638 0.1138
Ge 0.8635 0.7500 0.6135
Pt 0.1253 0.3753 0.7500
Pt 0.3747 0.1247 0.2500

---

[8]
The following is a theoretical X-ray diffraction stick pattern of Ho4MgAl2Zn. It was derived from a crystal structure in Alexandria, relaxed with PBE, using copper Kα.
Intensities are scaled so that the largest is 100.

Largest 10 diffraction maxima, by intensity, 10° ≤ 2θ ≤ 80°:
d/Å	Position (°2θ)	intensity
2.557	35.09	100
3.617	24.62	48
1.476	62.95	35
1.617	56.94	19
1.808	50.47	17
2.088	43.34	14
1.279	74.16	11
1.206	79.49	5
1.205	79.54	4
8.359	10.58	3

Cell and atoms:
abc: 8.8646 8.8646 8.8646
angles: 33.52 33.52 33.52
Fractional coordinates of all 8 atoms:
Ho 0.1204 0.1204 0.1204
Ho 0.3709 0.3709 0.3709
Ho 0.6291 0.6291 0.6291
Ho 0.8796 0.8796 0.8796
Mg 0.5000 0.5000 0.5000
Al 0.2457 0.2457 0.2457
Al 0.7543 0.7543 0.7543
Zn 0.0000 0.0000 0.0000

---

[9]
The following is a theoretical X-ray diffraction stick pattern of Ca3Tl2Hg6. It was derived from a crystal structure in Alexandria, relaxed with PBE, using copper Kα.
Intensities are scaled so that the largest is 100.

Largest 10 diffraction maxima, by intensity, 10° ≤ 2θ ≤ 80°:
d/Å	Position (°2θ)	intensity
3.216	27.74	100
2.512	35.74	78
2.324	38.75	57
2.778	32.23	44
5.196	17.06	32
1.375	68.19	27
1.732	52.86	22
1.408	66.37	21
3.118	28.63	21
1.643	55.96	20

Cell and atoms:
abc: 15.9306 15.9306 15.9306
angles: 163.22 163.22 23.81
Fractional coordinates of all 11 atoms:
Ca 0.0000 0.0000 0.0000
Ca 0.1462 0.1462 0.0000
Ca 0.8538 0.8538 0.0000
Tl 0.3479 0.3479 0.0000
Tl 0.6521 0.6521 0.0000
Hg 0.0718 0.5718 0.5000
Hg 0.2474 0.2474 0.0000
Hg 0.4282 0.9282 0.5000
Hg 0.5718 0.0718 0.5000
Hg 0.7526 0.7526 0.0000
Hg 0.9282 0.4282 0.5000

---

[10]
The following is a theoretical X-ray diffraction stick pattern of In2Sn3S7. It was derived from a crystal structure in Alexandria, relaxed with PBE, using copper Kα.
Intensities are scaled so that the largest is 100.

Largest 10 diffraction maxima, by intensity, 10° ≤ 2θ ≤ 80°:
d/Å	Position (°2θ)	intensity
2.889	30.96	100
3.706	24.01	87
1.911	47.59	74
2.507	35.81	63
2.643	33.91	50
3.013	29.64	49
3.615	24.63	44
3.274	27.24	43
2.743	32.65	42
3.332	26.76	34

Cell and atoms:
abc: 11.5337 3.8224 13.3296
angles: 90.00 105.45 90.00
Fractional coordinates of all 24 atoms:
In 0.0172 0.2500 0.1237
In 0.0288 0.7500 0.3901
In 0.9712 0.2500 0.6099
In 0.9828 0.7500 0.8763
Sn 0.3058 0.2500 0.9861
Sn 0.3371 0.2500 0.7195
Sn 0.3903 0.2500 0.3892
Sn 0.6097 0.7500 0.6108
Sn 0.6629 0.7500 0.2805
Sn 0.6942 0.7500 0.0139
S 0.1072 0.2500 0.8185
S 0.1179 0.7500 0.5893
S 0.1409 0.7500 0.0611
S 0.1547 0.2500 0.3267
S 0.3794 0.7500 0.5261
S 0.3996 0.7500 0.8743
S 0.4120 0.7500 0.2666
S 0.5880 0.2500 0.7334
S 0.6004 0.2500 0.1257
S 0.6206 0.2500 0.4739
S 0.8453 0.7500 0.6733
S 0.8591 0.2500 0.9389
S 0.8821 0.2500 0.4107
S 0.8928 0.7500 0.1815

---

[11]
The following is a theoretical X-ray diffraction stick pattern of CuB2Cl6. It was derived from a crystal structure in Alexandria, relaxed with PBE, using copper Kα.
Intensities are scaled so that the largest is 100.

Largest 10 diffraction maxima, by intensity, 10° ≤ 2θ ≤ 80°:
d/Å	Position (°2θ)	intensity
7.031	12.59	100
4.155	21.38	52
4.580	19.38	46
3.794	23.45	32
4.376	20.29	26
3.079	29.00	19
3.833	23.20	18
2.494	36.01	17
2.379	37.82	16
3.689	24.12	15

Cell and atoms:
abc: 9.3343 9.3343 8.5838
angles: 116.72 116.72 82.08
Fractional coordinates of all 18 atoms:
Cu 0.2381 0.7619 0.7500
Cu 0.7619 0.2381 0.2500
B 0.1820 0.3616 0.3583
B 0.3616 0.1820 0.8583
B 0.6384 0.8180 0.1417
B 0.8180 0.6384 0.6417
Cl 0.0082 0.7452 0.8130
Cl 0.1989 0.5724 0.4327
Cl 0.2548 0.9918 0.6870
Cl 0.2729 0.3365 0.9866
Cl 0.3365 0.2729 0.4866
Cl 0.4276 0.8011 0.0673
Cl 0.5724 0.1989 0.9327
Cl 0.6635 0.7271 0.5134
Cl 0.7271 0.6635 0.0134
Cl 0.7452 0.0082 0.3130
Cl 0.8011 0.4276 0.5673
Cl 0.9918 0.2548 0.1870

---

[12]
The following is a theoretical X-ray diffraction stick pattern of TeAsOs2. It was derived from a crystal structure in Alexandria, relaxed with PBE, using copper Kα.
Intensities are scaled so that the largest is 100.

Largest 10 diffraction maxima, by intensity, 10° ≤ 2θ ≤ 80°:
d/Å	Position (°2θ)	intensity
2.437	36.88	100
8.226	10.75	76
2.140	42.24	44
2.032	44.59	36
1.285	73.70	27
1.513	61.27	15
1.304	72.47	14
1.214	78.88	14
2.071	43.71	11
1.483	62.66	11

Cell and atoms:
abc: 3.0259 3.0259 8.2263
angles: 90.00 90.00 90.00
Fractional coordinates of all 4 atoms:
Te 0.0000 0.0000 0.0000
As 0.5000 0.5000 0.3879
Os 0.0000 0.0000 0.5650
Os 0.5000 0.5000 0.7978